# 1
Calculated X-ray diffraction stick pattern of Li2Ti3NiO8 for Cu Kα, 1.54184 Å, from a structure optimized by DFT (PBE+U).
Peak positions follow from Bragg's law for the DFT cell and can differ from measured ones.

Main lines, low angle first (10 to 90 degrees two-theta):
Position (°2θ), Rel. int.
18.18, 100
35.22, 48
36.84, 8
42.81, 58
46.86, 11
56.60, 21
62.14, 35
65.31, 10
78.44, 7
89.02, 5

```
Li2Ti3NiO8
1.0
2.9858 1.7239 4.8846
-2.9858 1.7239 4.8846
0.0000 -3.4477 4.8846
Li Ti Ni O
2 3 1 8
Direct
0.1208 0.1208 0.1208
0.8792 0.8792 0.8792
0.0000 0.5000 0.5000
0.5000 0.0000 0.5000
0.5000 0.5000 0.0000
0.5000 0.5000 0.5000
0.2539 0.2539 0.7105
0.2539 0.7105 0.2539
0.2607 0.2607 0.2607
0.2895 0.7461 0.7461
0.7105 0.2539 0.2539
0.7393 0.7393 0.7393
0.7461 0.2895 0.7461
0.7461 0.7461 0.2895
```


# 2
Calculated X-ray diffraction stick pattern of Li3TiNi4O8 for Cu Kα, 1.54184 Å, from a structure optimized by DFT (PBE+U).
Peak positions follow from Bragg's law for the DFT cell and can differ from measured ones.

Main lines, low angle first (10 to 90 degrees two-theta):
Position (°2θ), Rel. int.
18.31, 100
21.26, 19
35.55, 18
35.66, 22
37.24, 43
43.05, 50
43.30, 98
62.58, 28
62.82, 41
79.37, 19

```
Li3TiNi4O8
1.0
5.9195 0.0000 0.0000
0.0000 5.9016 0.0000
-0.0447 0.0000 8.4037
Li Ti Ni O
6 2 8 16
Direct
0.0000 0.0000 0.0000
0.2501 0.2500 0.2503
0.2501 0.7500 0.2503
0.5000 0.5000 0.5000
0.7499 0.2500 0.7497
0.7499 0.7500 0.7497
0.0000 0.0000 0.5000
0.5000 0.5000 0.0000
0.0000 0.5000 0.0000
0.0000 0.5000 0.5000
0.2498 0.2499 0.7493
0.2498 0.7501 0.7493
0.5000 0.0000 0.0000
0.5000 0.0000 0.5000
0.7502 0.2499 0.2507
0.7502 0.7501 0.2507
0.0104 0.0000 0.7384
0.0184 0.5000 0.7502
0.2380 0.2380 0.4987
0.2380 0.7620 0.4987
0.2620 0.2618 0.0015
0.2620 0.7382 0.0015
0.4815 0.0000 0.7507
0.4895 0.5000 0.7623
0.5105 0.5000 0.2377
0.5185 0.0000 0.2493
0.7380 0.2618 0.9985
0.7380 0.7382 0.9985
0.7620 0.2380 0.5013
0.7620 0.7620 0.5013
0.9816 0.5000 0.2498
0.9896 0.0000 0.2616
```


# 3
Calculated X-ray diffraction stick pattern of Li2TiNi3O8 for Cu Kα, 1.54184 Å, from a structure optimized by DFT (PBE+U).
Peak positions follow from Bragg's law for the DFT cell and can differ from measured ones.

Main lines, low angle first (10 to 90 degrees two-theta):
Position (°2θ), Rel. int.
18.78, 100
35.65, 18
36.47, 16
37.10, 15
38.09, 13
42.97, 20
44.38, 18
45.44, 17
63.48, 11
64.31, 11

```
Li2TiNi3O8
1.0
7.9848 0.0000 0.0000
0.0000 8.1650 0.0000
0.0000 0.0000 8.4201
Li Ti Ni O
8 4 12 32
Direct
0.0061 0.0053 0.0044
0.2420 0.7572 0.7498
0.2580 0.2428 0.2498
0.4939 0.9947 0.5044
0.5061 0.4947 0.9956
0.7420 0.7428 0.2502
0.7580 0.2572 0.7502
0.9939 0.5053 0.4956
0.1356 0.6158 0.1247
0.3644 0.3842 0.6247
0.6356 0.8842 0.8753
0.8644 0.1158 0.3753
0.1245 0.1219 0.6243
0.1249 0.3710 0.8788
0.1267 0.8755 0.3722
0.3733 0.1245 0.8722
0.3751 0.6290 0.3788
0.3755 0.8781 0.1243
0.6249 0.1290 0.1212
0.6245 0.3781 0.3757
0.6267 0.6245 0.6278
0.8733 0.3755 0.1278
0.8755 0.6219 0.8757
0.8751 0.8710 0.6212
0.1091 0.3851 0.1305
0.1105 0.6104 0.8894
0.1105 0.8804 0.5963
0.1190 0.1044 0.3825
0.1321 0.3660 0.6274
0.1379 0.6434 0.3628
0.1399 0.1403 0.8648
0.1412 0.8675 0.1463
0.3588 0.1325 0.6463
0.3601 0.8597 0.3648
0.3621 0.3566 0.8628
0.3679 0.6340 0.1274
0.3810 0.8956 0.8825
0.3895 0.1196 0.0963
0.3895 0.3896 0.3894
0.3909 0.6149 0.6305
0.6091 0.1149 0.8695
0.6105 0.6196 0.4037
0.6105 0.8896 0.1106
0.6190 0.3956 0.6175
0.6321 0.1340 0.3726
0.6379 0.8566 0.6372
0.6399 0.3597 0.1352
0.6412 0.6325 0.8537
0.8588 0.3675 0.3537
0.8601 0.6403 0.6352
0.8621 0.1434 0.1372
0.8679 0.8660 0.8726
0.8810 0.6044 0.1175
0.8895 0.1104 0.6106
0.8895 0.3804 0.9037
0.8909 0.8851 0.3695
```


# 4
Calculated X-ray diffraction stick pattern of Li2TiNiO4 for Cu Kα, 1.54184 Å, from a structure optimized by DFT (PBE+U).
Peak positions follow from Bragg's law for the DFT cell and can differ from measured ones.

Main lines, low angle first (10 to 90 degrees two-theta):
Position (°2θ), Rel. int.
18.27, 100
35.43, 29
35.79, 14
37.18, 13
42.97, 56
43.51, 26
47.27, 10
62.40, 15
62.67, 15
62.94, 15

```
Li2TiNiO4
1.0
5.1028 0.0000 0.0000
0.0000 2.9754 0.0000
-1.6545 0.0000 4.8552
Li Ti Ni O
2 1 1 4
Direct
0.0000 0.0000 0.0000
0.5000 0.5000 0.0000
0.0000 0.5000 0.5000
0.5000 0.0000 0.5000
0.2267 0.0000 0.7299
0.2416 0.5000 0.2721
0.7584 0.5000 0.7279
0.7733 0.0000 0.2701
```


# 5
Calculated X-ray diffraction stick pattern of Li2TiNiO4 for Cu Kα, 1.54184 Å, from a structure optimized by DFT (PBE+U).
Peak positions follow from Bragg's law for the DFT cell and can differ from measured ones.

Main lines, low angle first (10 to 90 degrees two-theta):
Position (°2θ), Rel. int.
18.35, 100
35.35, 20
35.48, 10
35.81, 15
37.10, 9
37.26, 8
42.98, 56
43.64, 27
47.38, 11
62.92, 30

```
Li2TiNiO4
1.0
-2.9665 2.9852 4.1481
2.9665 -2.9852 4.1481
2.9665 2.9852 -4.1481
Li Ti Ni O
4 2 2 8
Direct
0.0000 0.0000 0.0000
0.5000 0.0000 0.0000
0.5000 0.0000 0.5000
0.5000 0.5000 0.5000
0.0000 0.0000 0.5000
0.0000 0.5000 0.0000
0.0000 0.5000 0.5000
0.5000 0.5000 0.0000
0.2256 0.2477 0.9778
0.2301 0.7523 0.4778
0.2352 0.2423 0.5071
0.2352 0.7281 0.9929
0.7648 0.2719 0.0071
0.7648 0.7577 0.4929
0.7699 0.2477 0.5222
0.7744 0.7523 0.0222
```


# 6
Calculated X-ray diffraction stick pattern of Li3Ti2Ni2O8 for Cu Kα, 1.54184 Å, from a structure optimized by DFT (PBE+U).
Peak positions follow from Bragg's law for the DFT cell and can differ from measured ones.

Main lines, low angle first (10 to 90 degrees two-theta):
Position (°2θ), Rel. int.
18.20, 32
18.35, 100
34.83, 16
35.68, 11
35.85, 21
37.20, 14
41.99, 34
43.69, 60
61.94, 17
62.46, 17

```
Li3Ti2Ni2O8
1.0
5.8486 0.0000 0.0000
-0.0038 5.8720 0.0000
-0.0034 -0.0932 8.6068
Li Ti Ni O
6 4 4 16
Direct
0.0000 0.0000 0.0000
0.0000 0.5000 0.0000
0.2501 0.2505 0.7494
0.5000 0.0000 0.5000
0.5000 0.5000 0.5000
0.7499 0.7495 0.2506
0.2490 0.2506 0.2500
0.2510 0.7509 0.7498
0.7490 0.2491 0.2502
0.7510 0.7494 0.7500
0.0000 0.0000 0.5000
0.0000 0.5000 0.5000
0.5000 0.0000 0.0000
0.5000 0.5000 0.0000
0.0018 0.5255 0.7590
0.0021 0.9754 0.7478
0.2301 0.7333 0.5212
0.2345 0.2639 0.4848
0.2656 0.2361 0.0158
0.2697 0.7672 0.9787
0.4978 0.5248 0.7521
0.4982 0.9750 0.7410
0.5018 0.0250 0.2590
0.5022 0.4752 0.2479
0.7303 0.2328 0.0213
0.7344 0.7639 0.9842
0.7655 0.7361 0.5152
0.7699 0.2667 0.4788
0.9979 0.0246 0.2522
0.9982 0.4745 0.2410
```